# Zr6SnS
Simulated powder XRD pattern, Cu Ka. Input: DFT lattice parameters and positions (GGA-PBE).

Structure:
Cell: 7.252 9.162 5.504 Å, 90.00 105.46 90.00°
Fractional positions:
Zr  0.127  0.194  0.261
Zr  0.127  0.806  0.261
Zr  0.226  0.500  0.108
Zr  0.274  0.000  0.892
Zr  0.373  0.306  0.739
Zr  0.373  0.694  0.739
Zr  0.627  0.306  0.261
Zr  0.627  0.694  0.261
Zr  0.726  0.000  0.108
Zr  0.774  0.500  0.892
Zr  0.873  0.194  0.739
Zr  0.873  0.806  0.739
Sn  0.000  0.500  0.500
Sn  0.500  0.000  0.500
S  0.000  0.000  0.500
S  0.500  0.500  0.500

Most intense lines, 2θ = 5–70°, by angle:
31.98°, I = 37, hkl 1 3 0; 33.07°, I = 84, hkl 2 2 -1; 34.27°, I = 100, hkl 2 0 1; 37.92°, I = 36, hkl 1 3 1; 39.11°, I = 22, hkl 3 1 -1; 39.27°, I = 55, hkl 0 2 2